1.
For NaNiAgF6, a cell relaxed with GGA+U gives the simulated PXRD pattern in this record (Cu Kα (weighted mean of Kα1 and Kα2)).
Lines closer than 0.1° are merged.

Main lines, by angle (2θ = 10–80°):
18.4 deg, rel. 88
18.7 deg, rel. 47
26.4 deg, rel. 100
32.8 deg, rel. 44
37.8 deg, rel. 88
42.6 deg, rel. 25
50.5 deg, rel. 78
58.5 deg, rel. 33

Atomic structure:
Lattice parameters (Å, degrees): 5.468 5.468 9.626 90.00 90.00 120.00
Fractional positions:
Na  0.000  0.000  0.000
Na  0.000  0.000  0.500
Ni  0.333  0.667  0.250
Ni  0.667  0.333  0.750
Ag  0.333  0.667  0.750
Ag  0.667  0.333  0.250
F  0.014  0.362  0.136
F  0.014  0.652  0.364
F  0.348  0.362  0.364
F  0.348  0.986  0.136
F  0.362  0.014  0.636
F  0.362  0.348  0.864
F  0.638  0.652  0.136
F  0.638  0.986  0.364
F  0.652  0.014  0.864
F  0.652  0.638  0.636
F  0.986  0.348  0.636
F  0.986  0.638  0.864

---

2.
For NaNiAg2F8, a cell relaxed with GGA+U gives the simulated PXRD pattern in this record (Cu Kα (weighted mean of Kα1 and Kα2)).
Lines closer than 0.1° are merged.

Main lines, by angle (2θ = 10–80°):
18.0 deg, rel. 43
28.3 deg, rel. 100
31.9 deg, rel. 27
34.6 deg, rel. 43
36.9 deg, rel. 19
45.8 deg, rel. 20
54.7 deg, rel. 57
77.0 deg, rel. 19

Atomic structure:
Lattice parameters (Å, degrees): 6.528 6.528 6.528 129.12 129.12 74.82
Fractional positions:
Na  0.000  0.000  0.000
Ni  0.250  0.750  0.500
Ag  0.500  0.500  0.000
Ag  0.750  0.250  0.500
F  0.086  0.438  0.026
F  0.183  0.639  0.813
F  0.361  0.174  0.544
F  0.412  0.060  0.974
F  0.562  0.588  0.648
F  0.630  0.817  0.456
F  0.826  0.370  0.187
F  0.940  0.914  0.352

---

3.
For Na3Ag3W2O6F6, a cell relaxed with GGA+U gives the simulated PXRD pattern in this record (Cu Kα (weighted mean of Kα1 and Kα2)).
Lines closer than 0.1° are merged.

Main lines, by angle (2θ = 10–80°):
18.5 deg, rel. 53
21.4 deg, rel. 33
30.3 deg, rel. 100
30.6 deg, rel. 90
32.0 deg, rel. 23
43.5 deg, rel. 49
54.1 deg, rel. 43
54.3 deg, rel. 27

Atomic structure:
Lattice parameters (Å, degrees): 10.267 10.267 10.267 33.11 33.11 33.11
Fractional positions:
Na  0.000  0.000  0.000
Na  0.367  0.367  0.367
Na  0.633  0.633  0.633
Ag  0.130  0.130  0.130
Ag  0.500  0.500  0.500
Ag  0.870  0.870  0.870
W  0.246  0.246  0.246
W  0.754  0.754  0.754
O  0.076  0.521  0.750
O  0.250  0.924  0.479
O  0.479  0.250  0.924
O  0.521  0.750  0.076
O  0.750  0.076  0.521
O  0.924  0.479  0.250
F  0.055  0.263  0.569
F  0.263  0.569  0.055
F  0.431  0.945  0.737
F  0.569  0.055  0.263
F  0.737  0.431  0.945
F  0.945  0.737  0.431